Record 1
For Ce3Th5Sb8, a cell relaxed with GGA-PBE gives the computed PXRD pattern in this record (Cu Kα (λ = 1.5418 Å)).

Structure:
Lattice parameters (Å, degrees): 9.019 9.019 9.019 59.88 59.88 59.88
Fractional coordinates of all 16 atoms:
1 Ce 0.000 0.500 0.500
2 Ce 0.500 0.000 0.500
3 Ce 0.500 0.500 0.000
4 Th 0.000 0.000 0.000
5 Th 0.000 0.000 0.500
6 Th 0.000 0.500 0.000
7 Th 0.500 0.000 0.000
8 Th 0.500 0.500 0.500
9 Sb 0.250 0.250 0.250
10 Sb 0.250 0.250 0.749
11 Sb 0.250 0.749 0.250
12 Sb 0.251 0.750 0.750
13 Sb 0.749 0.250 0.250
14 Sb 0.750 0.251 0.750
15 Sb 0.750 0.750 0.251
16 Sb 0.750 0.750 0.750

Main lines, by intensity (10° ≤ 2θ ≤ 90°):
- 2θ 28.01, 3.186 Å, rel. 100
- 2θ 40.03, 2.253 Å, rel. 77
- 2θ 49.59, 1.838 Å, rel. 21
- 2θ 72.75, 1.300 Å, rel. 20
- 2θ 65.47, 1.426 Å, rel. 18
- 2θ 65.57, 1.424 Å, rel. 18
- 2θ 57.89, 1.593 Å, rel. 13
- 2θ 24.20, 3.678 Å, rel. 9
- 2θ 49.47, 1.843 Å, rel. 7
- 2θ 72.58, 1.303 Å, rel. 7

Record 2
For Ce2ThSb4, a cell relaxed with GGA-PBE gives the computed PXRD pattern in this record (Cu Kα (λ = 1.5418 Å)).

Structure:
Lattice parameters (Å, degrees): 4.350 4.350 11.825 90.00 90.00 90.00
Fractional coordinates of all 7 atoms:
1 Ce 0.000 0.500 0.210
2 Ce 0.500 0.000 0.790
3 Th 0.000 0.000 0.500
4 Sb 0.000 0.000 0.000
5 Sb 0.000 0.500 0.693
6 Sb 0.500 0.000 0.307
7 Sb 0.500 0.500 0.000

Main lines, by intensity (10° ≤ 2θ ≤ 90°):
- 2θ 32.82, 2.729 Å, rel. 100
- 2θ 25.42, 3.504 Å, rel. 33
- 2θ 41.52, 2.175 Å, rel. 32
- 2θ 36.76, 2.445 Å, rel. 26
- 2θ 70.26, 1.340 Å, rel. 22
- 2θ 21.77, 4.083 Å, rel. 18
- 2θ 30.23, 2.956 Å, rel. 16
- 2θ 56.64, 1.625 Å, rel. 15
- 2θ 52.21, 1.752 Å, rel. 14
- 2θ 49.31, 1.848 Å, rel. 11